Calculated X-ray diffraction stick pattern
Compound: TmCoO3
Radiation: Cu Kα (λ = 1.5418 Å)
Structure: a structure optimized by DFT (PBE+U)

```
20
Lattice="5.7088 0.0000 0.0000 0.0000 7.3609 0.0000 0.0000 0.0000 5.1361" Properties=species:S:1:pos:R:3 pbc="T T T"
Tm 0.5101 1.8402 0.1278
Tm 2.3443 5.5207 2.6959
Tm 3.3645 1.8402 2.4402
Tm 5.1987 5.5207 5.0082
Co 0.0000 0.0000 2.5680
Co 0.0000 3.6805 2.5680
Co 2.8544 0.0000 0.0000
Co 2.8544 3.6805 0.0000
O 0.2045 5.5207 1.9740
O 1.0255 4.0914 4.1326
O 1.0255 6.9499 4.1326
O 1.8289 0.4110 1.5646
O 1.8289 3.2695 1.5646
O 2.6499 1.8402 4.5421
O 3.0589 5.5207 0.5940
O 3.8799 4.0914 3.5715
O 3.8799 6.9499 3.5715
O 4.6832 0.4110 1.0034
O 4.6832 3.2695 1.0034
O 5.5042 1.8402 3.1620
```

Peak list (10 most intense, 10° ≤ 2θ ≤ 90°, by angle)
2θ/deg  I/Imax  h k l
23.30  17.4  1 0 1
24.18  15.1  0 2 0
26.29  42.0  1 1 1
33.68  26.4  2 1 0
33.83  100.0  1 2 1
34.94  25.8  0 0 2
43.86  16.6  1 3 1
49.31  22.3  2 1 2
52.79  24.2  3 1 1
61.99  31.9  0 4 2